(1)
Starting from a crystal structure in the Materials Project, relaxed with GGA+U, the PXRD pattern of Li4MnCo2O7 was calculated for λ = 1.5418 Å (Cu Kα).
Lines closer than 0.1° are merged.

Peak list (12 most intense, 2θ = 10–90°, low angle first)
Position (°2θ)  I (rel.)
10.8  8
18.3  100
35.5  14
36.3  25
37.7  7
42.9  27
43.9  53
47.7  13
57.8  9
62.9  14
63.2  21
64.5  7

Structure:
```
Li4MnCo2O7
1.0
9.7348 -1.4437 0.0000
9.7348 1.4437 0.0000
-3.9344 0.0000 8.9237
Li Mn Co O
8 2 4 14
direct
0.0000 0.0000 0.0000
0.0711 0.0711 0.7834
0.2036 0.2036 0.3455
0.3614 0.3614 0.9430
0.5033 0.5033 0.4914
0.6298 0.6298 0.0600
0.7784 0.7784 0.6412
0.9305 0.9305 0.2026
0.4299 0.4299 0.7211
0.8536 0.8536 0.4275
0.1372 0.1372 0.5597
0.2832 0.2832 0.1340
0.5599 0.5599 0.2595
0.7120 0.7120 0.8509
0.0363 0.0363 0.3858
0.1034 0.1034 0.1784
0.1817 0.1817 0.9509
0.2424 0.2424 0.7535
0.3258 0.3258 0.5301
0.3869 0.3869 0.3374
0.4659 0.4659 0.1120
0.5237 0.5237 0.8660
0.6063 0.6063 0.6634
0.6725 0.6725 0.4665
0.7589 0.7589 0.2595
0.8185 0.8185 0.0364
0.8939 0.8939 0.8021
0.9514 0.9514 0.6039
```

---

(2)
Starting from a crystal structure in the Materials Project, relaxed with GGA+U, the PXRD pattern of Li7Mn2Co3O12 was calculated for λ = 1.5418 Å (Cu Kα).
Lines closer than 0.1° are merged.

Peak list (12 most intense, 2θ = 10–90°, low angle first)
Position (°2θ)  I (rel.)
11.9  8
17.9  100
34.7  17
36.2  26
41.9  34
43.6  58
47.1  10
57.1  9
61.8  17
62.0  8
62.3  17
64.8  8

Structure:
```
Li7Mn2Co3O12
1.0
2.6135 -1.4386 0.0000
2.6135 1.4386 0.0000
-0.6399 0.0000 29.6777
Li Mn Co O
7 2 3 12
direct
0.0000 0.0000 0.0000
0.0026 0.0026 0.2477
0.3347 0.3347 0.5814
0.3426 0.3426 0.0811
0.6574 0.6574 0.9189
0.6653 0.6653 0.4186
0.9974 0.9974 0.7523
0.3339 0.3339 0.3335
0.6661 0.6661 0.6665
0.0000 0.0000 0.5000
0.3294 0.3294 0.8332
0.6706 0.6706 0.1668
0.0064 0.0064 0.8695
0.0234 0.0234 0.6287
0.3103 0.3103 0.7044
0.3290 0.3290 0.4611
0.3336 0.3336 0.2064
0.3362 0.3362 0.9577
0.6638 0.6638 0.0423
0.6664 0.6664 0.7936
0.6710 0.6710 0.5389
0.6897 0.6897 0.2956
0.9766 0.9766 0.3713
0.9936 0.9936 0.1305
```

---

(3)
Starting from a crystal structure in the Materials Project, relaxed with GGA+U, the PXRD pattern of Li4MnCo3O8 was calculated for λ = 1.5418 Å (Cu Kα).
Lines closer than 0.1° are merged.

Peak list (12 most intense, 2θ = 10–90°, low angle first)
Position (°2θ)  I (rel.)
18.2  100
34.8  18
35.4  15
36.5  12
37.1  10
41.9  29
43.0  27
44.6  24
61.4  8
61.7  8
62.5  7
63.1  7

Structure:
```
Li4MnCo3O8
1.0
2.9520 0.0000 0.0000
-1.2304 4.9405 0.0000
-0.4349 -1.7620 10.1335
Li Mn Co O
4 1 3 8
direct
0.2468 0.4967 0.3750
0.2499 0.4992 0.8740
0.7501 0.5008 0.1260
0.7532 0.5033 0.6250
0.0000 0.0000 0.5000
0.0000 0.0000 0.0000
0.4944 0.9945 0.7497
0.5056 0.0055 0.2503
0.1149 0.2249 0.6852
0.1213 0.2304 0.1866
0.3441 0.7645 0.5662
0.3755 0.7732 0.0634
0.6245 0.2268 0.9366
0.6559 0.2355 0.4338
0.8787 0.7696 0.8134
0.8851 0.7751 0.3148
```

---

(4)
Starting from a crystal structure in the Materials Project, relaxed with GGA+U, the PXRD pattern of Li4Mn3CoO8 was calculated for λ = 1.5418 Å (Cu Kα).
Lines closer than 0.1° are merged.

Peak list (12 most intense, 2θ = 10–90°, low angle first)
Position (°2θ)  I (rel.)
18.3  100
34.6  35
36.5  11
36.7  9
41.9  61
44.8  24
47.2  9
55.7  9
60.3  9
61.3  8
62.8  14
63.2  15

Structure:
```
Li4Mn3CoO8
1.0
4.9787 -1.5347 0.0000
4.9787 1.5347 0.0000
-2.1827 0.0000 9.8390
Li Mn Co O
4 3 1 8
direct
0.2493 0.2493 0.3754
0.2486 0.2486 0.8790
0.7514 0.7514 0.1210
0.7507 0.7507 0.6246
0.0000 0.0000 0.5000
0.4994 0.4994 0.7504
0.5006 0.5006 0.2496
0.0000 0.0000 0.0000
0.1153 0.1153 0.1789
0.1152 0.1152 0.6800
0.3837 0.3837 0.5703
0.3853 0.3853 0.0693
0.6147 0.6147 0.9307
0.6163 0.6163 0.4297
0.8848 0.8848 0.3200
0.8847 0.8847 0.8211
```

---

(5)
Starting from a crystal structure in the Materials Project, relaxed with GGA+U, the PXRD pattern of Li4MnCo2O7 was calculated for λ = 1.5418 Å (Cu Kα).
Lines closer than 0.1° are merged.

Peak list (12 most intense, 2θ = 10–90°, low angle first)
Position (°2θ)  I (rel.)
18.3  100
35.0  16
36.0  13
36.4  12
37.3  7
42.1  32
43.8  27
44.3  27
62.3  8
62.4  16
63.1  8
63.8  7

Structure:
```
Li4MnCo2O7
1.0
2.9501 0.0000 0.0000
-1.1482 9.7054 0.0000
-0.4782 -4.2171 8.8722
Li Mn Co O
8 2 4 14
direct
0.0000 0.0000 0.0000
0.0418 0.1315 0.7952
0.1957 0.4137 0.3550
0.3411 0.7136 0.9347
0.4955 0.9961 0.5000
0.6171 0.2647 0.0667
0.7735 0.5627 0.6433
0.9219 0.8546 0.2187
0.4149 0.8566 0.7267
0.6999 0.4181 0.8561
0.1323 0.2734 0.5676
0.2691 0.5607 0.1443
0.5515 0.1261 0.2740
0.8347 0.7050 0.4313
0.1158 0.2008 0.1894
0.1284 0.3548 0.9641
0.2745 0.4813 0.7437
0.2929 0.6469 0.5373
0.3821 0.7692 0.3308
0.4566 0.9407 0.1312
0.5135 0.0475 0.8812
0.6083 0.2162 0.6767
0.6517 0.3267 0.4537
0.7309 0.5007 0.2458
0.8144 0.6256 0.0375
0.8965 0.7851 0.8107
0.9239 0.9092 0.6205
0.9941 0.0732 0.3950
```

---

(6)
Starting from a crystal structure in the Materials Project, relaxed with GGA+U, the PXRD pattern of Li7Mn4CoO12 was calculated for λ = 1.5418 Å (Cu Kα).
Lines closer than 0.1° are merged.

Peak list (12 most intense, 2θ = 10–90°, low angle first)
Position (°2θ)  I (rel.)
10.1  10
11.3  10
18.4  100
34.4  16
36.2  23
41.6  32
44.1  56
47.3  9
58.2  10
62.0  15
62.5  16
64.8  8

Structure:
```
Li7Mn4CoO12
1.0
8.6786 0.0000 0.0000
0.0000 2.8770 0.0000
-4.2418 0.0000 8.7844
Li Mn Co O
7 4 1 12
direct
0.0000 0.0000 0.0000
0.0009 0.5000 0.4980
0.3355 0.0000 0.6773
0.3503 0.5000 0.1651
0.5012 0.0000 0.0017
0.6435 0.5000 0.8366
0.6650 0.0000 0.3238
0.1864 0.5000 0.8381
0.4934 0.5000 0.4976
0.8174 0.5000 0.1630
0.8395 0.0000 0.6698
0.1558 0.0000 0.3285
0.0700 0.5000 0.1806
0.1015 0.0000 0.6864
0.2297 0.5000 0.4750
0.2418 0.0000 0.9862
0.3954 0.5000 0.8338
0.4215 0.0000 0.3437
0.5695 0.0000 0.6528
0.6080 0.5000 0.1670
0.7608 0.0000 0.0146
0.7657 0.5000 0.5192
0.9035 0.0000 0.3144
0.9314 0.5000 0.8233
```

---

(7)
Starting from a crystal structure in the Materials Project, relaxed with GGA+U, the PXRD pattern of Li7Mn4CoO12 was calculated for λ = 1.5418 Å (Cu Kα).
Lines closer than 0.1° are merged.

Peak list (12 most intense, 2θ = 10–90°, low angle first)
Position (°2θ)  I (rel.)
10.3  13
18.5  100
21.2  9
34.6  15
36.5  26
41.6  33
44.6  55
47.4  8
58.8  9
62.4  16
62.7  15
65.3  8

Structure:
```
Li7Mn4CoO12
1.0
5.2033 -8.5734 0.0000
5.2033 8.5734 0.0000
-2.0122 0.0000 4.8313
Li Mn Co O
14 8 2 24
direct
0.0000 0.5000 0.5000
0.0802 0.4209 0.0014
0.1674 0.3343 0.4956
0.2474 0.2474 0.0139
0.2499 0.7501 0.0000
0.3343 0.1674 0.4956
0.4209 0.0802 0.0014
0.5000 0.0000 0.5000
0.5791 0.9198 0.9986
0.6657 0.8326 0.5044
0.7501 0.2499 0.0000
0.7526 0.7526 0.9861
0.8326 0.6657 0.5044
0.9198 0.5791 0.9986
0.0849 0.9151 0.0000
0.1667 0.8333 0.5000
0.3336 0.6664 0.5000
0.4148 0.5852 0.0000
0.5852 0.4148 0.0000
0.6664 0.3336 0.5000
0.8333 0.1667 0.5000
0.9151 0.0849 0.0000
0.0000 0.0000 0.5000
0.5000 0.5000 0.5000
0.0345 0.2004 0.7210
0.0571 0.7306 0.7384
0.1139 0.1139 0.2301
0.1321 0.6325 0.2795
0.2004 0.0345 0.7210
0.2303 0.5571 0.7375
0.2694 0.9429 0.2616
0.2980 0.4660 0.2742
0.3675 0.8679 0.7205
0.3969 0.3969 0.7470
0.4429 0.7697 0.2625
0.4660 0.2980 0.2742
0.5340 0.7020 0.7258
0.5571 0.2303 0.7375
0.6031 0.6031 0.2530
0.6325 0.1321 0.2795
0.7020 0.5340 0.7258
0.7306 0.0571 0.7384
0.7697 0.4429 0.2625
0.7996 0.9655 0.2790
0.8679 0.3675 0.7205
0.8861 0.8861 0.7699
0.9429 0.2694 0.2616
0.9655 0.7996 0.2790
```

---

(8)
Starting from a crystal structure in the Materials Project, relaxed with GGA+U, the PXRD pattern of Li6Mn5CoO12 was calculated for λ = 1.5418 Å (Cu Kα).
Lines closer than 0.1° are merged.

Peak list (12 most intense, 2θ = 10–90°, low angle first)
Position (°2θ)  I (rel.)
17.7  100
33.5  13
34.4  17
35.6  14
38.3  20
41.6  13
41.7  23
43.8  9
48.5  21
54.1  15
60.6  6
60.7  6

Structure:
```
Li6Mn5CoO12
1.0
5.0930 0.0000 0.0000
-0.8115 9.2204 0.0000
-0.9428 -1.1980 10.0447
Li Mn Co O
12 10 2 24
direct
0.1103 0.4787 0.2652
0.1151 0.1378 0.2668
0.1172 0.8135 0.2656
0.3814 0.6913 0.7326
0.3861 0.0246 0.7332
0.3871 0.3612 0.7335
0.6129 0.6388 0.2665
0.6139 0.9754 0.2668
0.6186 0.3087 0.2674
0.8828 0.1865 0.7344
0.8849 0.8622 0.7332
0.8897 0.5213 0.7348
0.0000 0.5000 0.0000
0.0027 0.8321 0.9959
0.0046 0.3342 0.5033
0.4990 0.8354 0.4974
0.5000 0.0000 0.0000
0.4996 0.3350 0.0025
0.5004 0.6650 0.9975
0.5010 0.1646 0.5026
0.9954 0.6658 0.4967
0.9973 0.1679 0.0041
0.0000 0.0000 0.5000
0.5000 0.5000 0.5000
0.1404 0.3266 0.9014
0.1558 0.6336 0.8882
0.1573 0.9753 0.8881
0.1976 0.4979 0.6183
0.2028 0.8279 0.6109
0.2173 0.1734 0.6210
0.2970 0.6645 0.3886
0.2987 0.3400 0.3895
0.3086 0.0051 0.3827
0.3363 0.5320 0.1100
0.3403 0.1992 0.1123
0.3414 0.8591 0.1076
0.6586 0.1409 0.8924
0.6597 0.8008 0.8877
0.6637 0.4680 0.8900
0.6914 0.9949 0.6173
0.7013 0.6600 0.6105
0.7030 0.3355 0.6114
0.7827 0.8266 0.3790
0.7972 0.1721 0.3891
0.8024 0.5021 0.3817
0.8427 0.0247 0.1119
0.8442 0.3664 0.1118
0.8596 0.6734 0.0986
```

---

(9)
Starting from a crystal structure in the Materials Project, relaxed with GGA+U, the PXRD pattern of Li4MnCo2O7 was calculated for λ = 1.5418 Å (Cu Kα).
Lines closer than 0.1° are merged.

Peak list (12 most intense, 2θ = 10–90°, low angle first)
Position (°2θ)  I (rel.)
18.2  100
35.2  13
36.3  26
37.7  7
42.6  28
43.9  55
47.5  13
57.7  9
62.7  14
62.9  21
64.7  7
80.6  6

Structure:
```
Li4MnCo2O7
1.0
4.9261 -1.4404 0.0000
4.9261 1.4404 0.0000
-2.0757 0.0000 17.8324
Li Mn Co O
8 2 4 14
direct
0.0000 0.0000 0.0000
0.0000 0.0000 0.5000
0.1466 0.1466 0.2920
0.2942 0.2942 0.5626
0.4317 0.4317 0.8595
0.5683 0.5683 0.1405
0.7058 0.7058 0.4374
0.8534 0.8534 0.7080
0.1400 0.1400 0.7854
0.8600 0.8600 0.2146
0.2836 0.2836 0.0694
0.4252 0.4252 0.3702
0.5748 0.5748 0.6298
0.7164 0.7164 0.9306
0.0586 0.0586 0.3875
0.0822 0.0822 0.8877
0.1978 0.1978 0.6876
0.2315 0.2315 0.1814
0.3519 0.3519 0.9653
0.3548 0.3548 0.4571
0.4859 0.4859 0.2427
0.5141 0.5141 0.7573
0.6452 0.6452 0.5429
0.6481 0.6481 0.0347
0.7685 0.7685 0.8186
0.8022 0.8022 0.3124
0.9178 0.9178 0.1123
0.9414 0.9414 0.6125
```